[1]
# V2CrRe
Computed powder XRD pattern, Cu Ka. Input: a structure optimized by DFT (PBE).

Principal peaks in the range 10° ≤ 2θ ≤ 90°, by intensity:
d = 2.109 Å, I = 100
d = 3.444 Å, I = 37
d = 1.218 Å, I = 32
d = 2.983 Å, I = 22
d = 1.799 Å, I = 19
d = 1.491 Å, I = 16
d = 1.369 Å, I = 8
d = 1.334 Å, I = 8
d = 1.148 Å, I = 7
d = 1.722 Å, I = 6

Atomic structure:
Lattice parameters (Å, degrees): 4.2185 4.2185 4.2185 60.00 60.00 60.00
Fractional coordinates of all 4 atoms:
V1 0.2500 0.2500 0.2500
V2 0.7500 0.7500 0.7500
Cr1 0.0000 0.0000 0.0000
Re1 0.5000 0.5000 0.5000



[2]
# V6CrRe2
Computed powder XRD pattern, Cu Ka. Input: a structure optimized by DFT (PBE).

Principal peaks in the range 10° ≤ 2θ ≤ 90°, by intensity:
d = 2.113 Å, I = 100
d = 2.133 Å, I = 99
d = 7.728 Å, I = 79
d = 1.228 Å, I = 32
d = 1.501 Å, I = 32
d = 3.333 Å, I = 31
d = 2.670 Å, I = 27
d = 2.056 Å, I = 20
d = 1.216 Å, I = 19
d = 1.231 Å, I = 16

Atomic structure:
Lattice parameters (Å, degrees): 4.2656 4.2656 7.7281 90.00 90.00 120.00
Fractional coordinates of all 9 atoms:
V1 0.0000 0.0000 0.1764
V2 0.0000 0.0000 0.8236
V3 0.3333 0.6667 0.2805
V4 0.3333 0.6667 0.6066
V5 0.6667 0.3333 0.3934
V6 0.6667 0.3333 0.7195
Cr1 0.0000 0.0000 0.5000
Re1 0.3333 0.6667 0.9422
Re2 0.6667 0.3333 0.0578



[3]
# Cr14ReW
Computed powder XRD pattern, Cu Ka. Input: a structure optimized by DFT (PBE).

Principal peaks in the range 10° ≤ 2θ ≤ 90°, by intensity:
d = 2.060 Å, I = 100
d = 8.222 Å, I = 26
d = 2.056 Å, I = 20
d = 4.115 Å, I = 13
d = 1.455 Å, I = 12
d = 1.190 Å, I = 12
d = 1.189 Å, I = 12
d = 1.188 Å, I = 12
d = 3.682 Å, I = 10
d = 2.288 Å, I = 7

Atomic structure:
Lattice parameters (Å, degrees): 5.0482 5.0482 8.2225 90.00 90.00 109.34
Fractional coordinates of all 16 atoms:
Cr1 0.0000 0.0000 0.0000
Cr2 0.0000 0.5000 0.0000
Cr3 0.0000 0.5000 0.5000
Cr4 0.2494 0.7506 0.2449
Cr5 0.2494 0.7506 0.7551
Cr6 0.2495 0.2495 0.2424
Cr7 0.2495 0.2495 0.7576
Cr8 0.5000 0.0000 0.0000
Cr9 0.5000 0.0000 0.5000
Cr10 0.5000 0.5000 0.0000
Cr11 0.7505 0.7505 0.2424
Cr12 0.7505 0.7505 0.7576
Cr13 0.7506 0.2494 0.2449
Cr14 0.7506 0.2494 0.7551
Re1 0.0000 0.0000 0.5000
W1 0.5000 0.5000 0.5000



[4]
# Cr3Rh
Computed powder XRD pattern, Cu Ka. Input: a structure optimized by DFT (PBE).

Principal peaks in the range 10° ≤ 2θ ≤ 90°, by intensity:
d = 2.075 Å, I = 100
d = 1.996 Å, I = 26
d = 2.081 Å, I = 24
d = 2.129 Å, I = 17
d = 1.167 Å, I = 14
d = 1.441 Å, I = 13
d = 3.084 Å, I = 11
d = 1.200 Å, I = 10
d = 1.939 Å, I = 8
d = 2.881 Å, I = 6

Atomic structure:
Lattice parameters (Å, degrees): 5.1257 5.1257 3.9923 90.00 90.00 108.62
Fractional coordinates of all 8 atoms:
Cr1 0.1032 0.3096 0.7500
Cr2 0.1513 0.8487 0.7500
Cr3 0.3096 0.1032 0.2500
Cr4 0.6904 0.8968 0.7500
Cr5 0.8487 0.1513 0.2500
Cr6 0.8968 0.6904 0.2500
Rh1 0.3824 0.6176 0.2500
Rh2 0.6176 0.3824 0.7500